Simulated XRD peak list
Compound: La2TbY5
Radiation: Cu Ka
Structure: the PBE geometry in Alexandria
Kinematic intensities with the Lorentz-polarization factor, no thermal factor.

Most intense lines, 10 to 90 degrees two-theta, by intensity:
- 2θ 31.0, I = 100
- 2θ 30.9, I = 45
- 2θ 17.7, I = 28
- 2θ 30.4, I = 25
- 2θ 29.4, I = 24
- 2θ 30.1, I = 24
- 2θ 30.8, I = 21
- 2θ 55.0, I = 17
- 2θ 38.3, I = 15
- 2θ 39.9, I = 14

Atomic structure:
a = 9.509 Å, b = 9.509 Å, c = 6.703 Å
α = 97.86°, β = 97.86°, γ = 63.37°
Element x y z (fractional)
La (0.171, 0.672, 0.885)
La (0.328, 0.829, 0.615)
La (0.672, 0.171, 0.385)
La (0.829, 0.328, 0.115)
Tb (0.000, 0.500, 0.000)
Tb (0.500, 0.000, 0.500)
Y (0.019, 0.185, 0.654)
Y (0.185, 0.019, 0.154)
Y (0.213, 0.392, 0.469)
Y (0.392, 0.213, 0.969)
Y (0.432, 0.568, 0.250)
Y (0.568, 0.432, 0.750)
Y (0.608, 0.787, 0.031)
Y (0.787, 0.608, 0.531)
Y (0.815, 0.981, 0.846)
Y (0.981, 0.815, 0.346)